Diffraction record for ReMoWF. The X-ray powder pattern is calculated, not measured: it uses a GGA+U-relaxed structure and a wavelength of 1.5418 Å.

Structure:
abc: 2.713 2.815 8.563
angles: 92.03 93.35 112.18
Space group P1 (No. 1)
Unique sites:
Re: 0.000 0.000 0.000 (multiplicity 1)
Mo: 0.563 0.557 0.248 (multiplicity 1)
W: 0.207 0.648 0.723 (multiplicity 1)
F: 0.126 0.608 0.468 (multiplicity 1)

Top 12 peaks for 2θ = 10–90°, in order of rising 2θ:
- 2θ 10.37, intensity 100
- 2θ 31.46, intensity 23
- 2θ 35.44, intensity 26
- 2θ 38.22, intensity 34
- 2θ 39.43, intensity 26
- 2θ 40.31, intensity 18
- 2θ 40.59, intensity 26
- 2θ 40.94, intensity 17
- 2θ 41.78, intensity 29
- 2θ 42.38, intensity 31
- 2θ 46.41, intensity 19
- 2θ 60.29, intensity 15